Entry 1:
K3SnIrCl8: calculated X-ray diffraction stick pattern (Cu Kα, 1.54184 Å), based on a DFT-relaxed cell (GGA-PBE, the Materials Project).
Intensities are scaled so that the largest is 100.

Structural model:
```
data_K3SnIrCl8
_cell_length_a 9.686
_cell_length_b 9.735
_cell_length_c 8.049
_cell_angle_alpha 90.00
_cell_angle_beta 90.00
_cell_angle_gamma 90.00
_space_group_name_H-M_alt 'P 1'
_space_group_IT_number 1
loop_
_space_group_symop_operation_xyz
'x,y,z'
loop_
_atom_site_label
_atom_site_type_symbol
_atom_site_fract_x
_atom_site_fract_y
_atom_site_fract_z
_atom_site_occupancy
K1 K 0.000 0.138 0.000 1
K2 K 0.241 0.627 0.931 1
K3 K 0.259 0.373 0.431 1
K4 K 0.500 0.862 0.500 1
K5 K 0.741 0.373 0.431 1
K6 K 0.759 0.627 0.931 1
Sn1 Sn 0.000 0.904 0.517 1
Sn2 Sn 0.500 0.096 0.017 1
Ir1 Ir 0.000 0.690 0.338 1
Ir2 Ir 0.500 0.310 0.838 1
Cl1 Cl 0.000 0.143 0.423 1
Cl2 Cl 0.000 0.474 0.179 1
Cl3 Cl 0.000 0.563 0.594 1
Cl4 Cl 0.000 0.812 0.083 1
Cl5 Cl 0.188 0.933 0.712 1
Cl6 Cl 0.246 0.686 0.333 1
Cl7 Cl 0.254 0.314 0.833 1
Cl8 Cl 0.312 0.067 0.212 1
Cl9 Cl 0.500 0.188 0.583 1
Cl10 Cl 0.500 0.437 0.094 1
Cl11 Cl 0.500 0.526 0.679 1
Cl12 Cl 0.500 0.857 0.923 1
Cl13 Cl 0.688 0.067 0.212 1
Cl14 Cl 0.746 0.314 0.833 1
Cl15 Cl 0.754 0.686 0.333 1
Cl16 Cl 0.812 0.933 0.712 1
```

The 10 most intense peaks (10 to 90 degrees two-theta), by angle:
2θ (°)  Rel. int.
12.89  70
14.30  100
16.97  13
18.31  25
23.28  38
28.80  14
29.82  18
30.28  36
37.13  19
47.86  14

---

Entry 2:
IrN5Cl3: calculated X-ray diffraction stick pattern (Cu Kα, 1.54184 Å), based on a DFT-relaxed cell (GGA-PBE, the Materials Project).
Intensities are scaled so that the largest is 100.

Structural model:
```
data_IrN5Cl3
_cell_length_a 17.175
_cell_length_b 6.272
_cell_length_c 7.381
_cell_angle_alpha 90.00
_cell_angle_beta 90.00
_cell_angle_gamma 90.00
_space_group_name_H-M_alt 'P 1'
_space_group_IT_number 1
loop_
_space_group_symop_operation_xyz
'x,y,z'
loop_
_atom_site_label
_atom_site_type_symbol
_atom_site_fract_x
_atom_site_fract_y
_atom_site_fract_z
_atom_site_occupancy
Ir1 Ir 0.147 0.250 0.163 1
Ir2 Ir 0.353 0.750 0.663 1
Ir3 Ir 0.647 0.250 0.337 1
Ir4 Ir 0.853 0.750 0.837 1
N1 N 0.074 0.750 0.646 1
N2 N 0.076 0.025 0.171 1
N3 N 0.076 0.475 0.171 1
N4 N 0.199 0.250 0.958 1
N5 N 0.211 0.250 0.346 1
N6 N 0.289 0.750 0.846 1
N7 N 0.301 0.750 0.458 1
N8 N 0.424 0.525 0.671 1
N9 N 0.424 0.975 0.671 1
N10 N 0.426 0.250 0.146 1
N11 N 0.574 0.750 0.854 1
N12 N 0.576 0.025 0.329 1
N13 N 0.576 0.475 0.329 1
N14 N 0.699 0.250 0.542 1
N15 N 0.711 0.250 0.154 1
N16 N 0.789 0.750 0.654 1
N17 N 0.801 0.750 0.042 1
N18 N 0.924 0.525 0.829 1
N19 N 0.924 0.975 0.829 1
N20 N 0.926 0.250 0.354 1
Cl1 Cl 0.064 0.750 0.191 1
Cl2 Cl 0.129 0.527 0.658 1
Cl3 Cl 0.129 0.973 0.658 1
Cl4 Cl 0.371 0.027 0.158 1
Cl5 Cl 0.371 0.473 0.158 1
Cl6 Cl 0.436 0.250 0.691 1
Cl7 Cl 0.564 0.750 0.309 1
Cl8 Cl 0.629 0.527 0.842 1
Cl9 Cl 0.629 0.973 0.842 1
Cl10 Cl 0.871 0.027 0.342 1
Cl11 Cl 0.871 0.473 0.342 1
Cl12 Cl 0.936 0.250 0.809 1
```

The 10 most intense peaks (10 to 90 degrees two-theta), by angle:
2θ (°)  Rel. int.
15.83  95
17.51  96
18.56  100
19.28  56
20.69  88
24.67  72
25.13  55
27.93  61
28.78  44
32.73  86

---

Entry 3:
Ir3N10Cl10: calculated X-ray diffraction stick pattern (Cu Kα, 1.54184 Å), based on a DFT-relaxed cell (GGA-PBE, the Materials Project).
Intensities are scaled so that the largest is 100.

Structural model:
```
data_Ir3N10Cl10
_cell_length_a 6.823
_cell_length_b 6.823
_cell_length_c 15.336
_cell_angle_alpha 96.91
_cell_angle_beta 96.91
_cell_angle_gamma 100.57
_space_group_name_H-M_alt 'P 1'
_space_group_IT_number 1
loop_
_space_group_symop_operation_xyz
'x,y,z'
loop_
_atom_site_label
_atom_site_type_symbol
_atom_site_fract_x
_atom_site_fract_y
_atom_site_fract_z
_atom_site_occupancy
Ir1 Ir 0.000 0.000 0.000 1
Ir2 Ir 0.269 0.269 0.753 1
Ir3 Ir 0.731 0.731 0.247 1
N1 N 0.078 0.532 0.517 1
N2 N 0.121 0.397 0.813 1
N3 N 0.397 0.121 0.813 1
N4 N 0.468 0.922 0.483 1
N5 N 0.497 0.497 0.745 1
N6 N 0.503 0.503 0.255 1
N7 N 0.532 0.078 0.517 1
N8 N 0.603 0.879 0.187 1
N9 N 0.879 0.603 0.187 1
N10 N 0.922 0.468 0.483 1
Cl1 Cl 0.051 0.051 0.155 1
Cl2 Cl 0.112 0.112 0.616 1
Cl3 Cl 0.218 0.782 0.000 1
Cl4 Cl 0.264 0.264 0.999 1
Cl5 Cl 0.464 0.464 0.357 1
Cl6 Cl 0.536 0.536 0.643 1
Cl7 Cl 0.736 0.736 0.001 1
Cl8 Cl 0.782 0.218 0.000 1
Cl9 Cl 0.888 0.888 0.384 1
Cl10 Cl 0.949 0.949 0.845 1
```

The 10 most intense peaks (10 to 90 degrees two-theta), by angle:
2θ (°)  Rel. int.
15.36  100
16.47  16
16.89  55
20.55  28
21.86  21
23.63  15
27.76  18
31.95  21
34.17  18
42.21  15

---

Entry 4:
Ir2OsN10Cl10: calculated X-ray diffraction stick pattern (Cu Kα, 1.54184 Å), based on a DFT-relaxed cell (GGA-PBE, the Materials Project).
Intensities are scaled so that the largest is 100.

Structural model:
```
data_Ir2OsN10Cl10
_cell_length_a 6.707
_cell_length_b 6.707
_cell_length_c 16.917
_cell_angle_alpha 103.67
_cell_angle_beta 103.67
_cell_angle_gamma 73.06
_space_group_name_H-M_alt 'P 1'
_space_group_IT_number 1
loop_
_space_group_symop_operation_xyz
'x,y,z'
loop_
_atom_site_label
_atom_site_type_symbol
_atom_site_fract_x
_atom_site_fract_y
_atom_site_fract_z
_atom_site_occupancy
Ir1 Ir 0.055 0.055 0.246 1
Ir2 Ir 0.945 0.945 0.754 1
Os1 Os 0.500 0.500 0.000 1
N1 N 0.174 0.811 0.194 1
N2 N 0.189 0.826 0.806 1
N3 N 0.236 0.236 0.237 1
N4 N 0.266 0.406 0.528 1
N5 N 0.406 0.266 0.528 1
N6 N 0.594 0.734 0.472 1
N7 N 0.734 0.594 0.472 1
N8 N 0.764 0.764 0.763 1
N9 N 0.811 0.174 0.194 1
N10 N 0.826 0.189 0.806 1
Cl1 Cl 0.039 0.039 0.377 1
Cl2 Cl 0.213 0.787 0.000 1
Cl3 Cl 0.290 0.290 0.005 1
Cl4 Cl 0.353 0.353 0.327 1
Cl5 Cl 0.425 0.425 0.856 1
Cl6 Cl 0.575 0.575 0.144 1
Cl7 Cl 0.647 0.647 0.673 1
Cl8 Cl 0.710 0.710 0.995 1
Cl9 Cl 0.787 0.213 0.000 1
Cl10 Cl 0.961 0.961 0.623 1
```

The 10 most intense peaks (10 to 90 degrees two-theta), by angle:
2θ (°)  Rel. int.
15.97  45
16.19  100
16.45  40
17.22  38
19.34  39
19.64  18
21.99  25
22.27  43
30.30  16
38.62  16

---

Entry 5:
Ir2OsN10Cl10: calculated X-ray diffraction stick pattern (Cu Kα, 1.54184 Å), based on a DFT-relaxed cell (GGA-PBE, the Materials Project).
Intensities are scaled so that the largest is 100.

Structural model:
```
data_Ir2OsN10Cl10
_cell_length_a 7.284
_cell_length_b 7.284
_cell_length_c 11.913
_cell_angle_alpha 104.10
_cell_angle_beta 104.10
_cell_angle_gamma 69.46
_space_group_name_H-M_alt 'P 1'
_space_group_IT_number 1
loop_
_space_group_symop_operation_xyz
'x,y,z'
loop_
_atom_site_label
_atom_site_type_symbol
_atom_site_fract_x
_atom_site_fract_y
_atom_site_fract_z
_atom_site_occupancy
Ir1 Ir 0.168 0.168 0.291 1
Ir2 Ir 0.832 0.832 0.709 1
Os1 Os 0.500 0.500 0.000 1
N1 N 0.001 0.691 0.547 1
N2 N 0.011 0.011 0.238 1
N3 N 0.034 0.385 0.230 1
N4 N 0.309 0.999 0.453 1
N5 N 0.385 0.034 0.230 1
N6 N 0.615 0.966 0.770 1
N7 N 0.691 0.001 0.547 1
N8 N 0.966 0.615 0.770 1
N9 N 0.989 0.989 0.762 1
N10 N 0.999 0.309 0.453 1
Cl1 Cl 0.152 0.152 0.523 1
Cl2 Cl 0.220 0.780 0.000 1
Cl3 Cl 0.304 0.304 0.983 1
Cl4 Cl 0.379 0.379 0.403 1
Cl5 Cl 0.457 0.457 0.799 1
Cl6 Cl 0.543 0.543 0.201 1
Cl7 Cl 0.621 0.621 0.597 1
Cl8 Cl 0.696 0.696 0.017 1
Cl9 Cl 0.780 0.220 0.000 1
Cl10 Cl 0.848 0.848 0.477 1
```

The 10 most intense peaks (10 to 90 degrees two-theta), by angle:
2θ (°)  Rel. int.
15.14  67
16.45  100
18.60  52
21.41  41
25.72  30
26.33  16
31.96  13
34.54  13
35.93  12
39.35  17

---

Entry 6:
Ir2PtN10Cl10: calculated X-ray diffraction stick pattern (Cu Kα, 1.54184 Å), based on a DFT-relaxed cell (GGA-PBE, the Materials Project).
Intensities are scaled so that the largest is 100.

Structural model:
```
data_Ir2PtN10Cl10
_cell_length_a 7.395
_cell_length_b 7.395
_cell_length_c 11.186
_cell_angle_alpha 102.78
_cell_angle_beta 102.78
_cell_angle_gamma 68.79
_space_group_name_H-M_alt 'P 1'
_space_group_IT_number 1
loop_
_space_group_symop_operation_xyz
'x,y,z'
loop_
_atom_site_label
_atom_site_type_symbol
_atom_site_fract_x
_atom_site_fract_y
_atom_site_fract_z
_atom_site_occupancy
Ir1 Ir 0.171 0.171 0.265 1
Ir2 Ir 0.829 0.829 0.735 1
Pt1 Pt 0.500 0.500 0.000 1
N1 N 0.002 0.693 0.571 1
N2 N 0.018 0.018 0.211 1
N3 N 0.036 0.380 0.186 1
N4 N 0.307 0.998 0.429 1
N5 N 0.380 0.036 0.186 1
N6 N 0.620 0.964 0.814 1
N7 N 0.693 0.002 0.571 1
N8 N 0.964 0.620 0.814 1
N9 N 0.982 0.982 0.789 1
N10 N 0.998 0.307 0.429 1
Cl1 Cl 0.147 0.147 0.503 1
Cl2 Cl 0.221 0.779 0.000 1
Cl3 Cl 0.316 0.316 0.026 1
Cl4 Cl 0.369 0.369 0.389 1
Cl5 Cl 0.422 0.422 0.784 1
Cl6 Cl 0.578 0.578 0.216 1
Cl7 Cl 0.631 0.631 0.611 1
Cl8 Cl 0.684 0.684 0.974 1
Cl9 Cl 0.779 0.221 0.000 1
Cl10 Cl 0.853 0.853 0.497 1
```

The 10 most intense peaks (10 to 90 degrees two-theta), by angle:
2θ (°)  Rel. int.
15.11  64
16.44  100
19.12  13
19.35  28
21.27  41
25.10  25
26.19  30
33.28  23
38.47  12
39.81  12

---

Entry 7:
ReIr2N10Cl10: calculated X-ray diffraction stick pattern (Cu Kα, 1.54184 Å), based on a DFT-relaxed cell (GGA-PBE, the Materials Project).
Intensities are scaled so that the largest is 100.

Structural model:
```
data_ReIr2N10Cl10
_cell_length_a 7.391
_cell_length_b 7.391
_cell_length_c 11.926
_cell_angle_alpha 103.43
_cell_angle_beta 103.43
_cell_angle_gamma 71.27
_space_group_name_H-M_alt 'P 1'
_space_group_IT_number 1
loop_
_space_group_symop_operation_xyz
'x,y,z'
loop_
_atom_site_label
_atom_site_type_symbol
_atom_site_fract_x
_atom_site_fract_y
_atom_site_fract_z
_atom_site_occupancy
Re1 Re 0.000 0.000 0.000 1
Ir1 Ir 0.334 0.334 0.710 1
Ir2 Ir 0.666 0.666 0.290 1
N1 N 0.114 0.454 0.765 1
N2 N 0.197 0.496 0.549 1
N3 N 0.454 0.114 0.765 1
N4 N 0.488 0.488 0.768 1
N5 N 0.496 0.197 0.549 1
N6 N 0.504 0.803 0.451 1
N7 N 0.512 0.512 0.232 1
N8 N 0.546 0.886 0.235 1
N9 N 0.803 0.504 0.451 1
N10 N 0.886 0.546 0.235 1
Cl1 Cl 0.036 0.036 0.199 1
Cl2 Cl 0.121 0.121 0.599 1
Cl3 Cl 0.195 0.195 0.020 1
Cl4 Cl 0.269 0.731 0.000 1
Cl5 Cl 0.348 0.348 0.480 1
Cl6 Cl 0.652 0.652 0.520 1
Cl7 Cl 0.731 0.269 0.000 1
Cl8 Cl 0.805 0.805 0.980 1
Cl9 Cl 0.879 0.879 0.401 1
Cl10 Cl 0.964 0.964 0.801 1
```

The 10 most intense peaks (10 to 90 degrees two-theta), by angle:
2θ (°)  Rel. int.
15.12  62
16.11  100
18.40  56
20.63  41
25.41  29
25.68  15
31.32  16
34.23  13
34.84  12
39.05  15

---

Entry 8:
IrRhN5Cl7: calculated X-ray diffraction stick pattern (Cu Kα, 1.54184 Å), based on a DFT-relaxed cell (GGA-PBE, the Materials Project).
Intensities are scaled so that the largest is 100.

Structural model:
```
data_IrRhN5Cl7
_cell_length_a 10.731
_cell_length_b 7.811
_cell_length_c 14.862
_cell_angle_alpha 90.00
_cell_angle_beta 104.21
_cell_angle_gamma 90.00
_space_group_name_H-M_alt 'P 1'
_space_group_IT_number 1
loop_
_space_group_symop_operation_xyz
'x,y,z'
loop_
_atom_site_label
_atom_site_type_symbol
_atom_site_fract_x
_atom_site_fract_y
_atom_site_fract_z
_atom_site_occupancy
Ir1 Ir 0.201 0.250 0.138 1
Ir2 Ir 0.213 0.250 0.638 1
Ir3 Ir 0.787 0.750 0.362 1
Ir4 Ir 0.799 0.750 0.862 1
Rh1 Rh 0.267 0.750 0.879 1
Rh2 Rh 0.282 0.750 0.360 1
Rh3 Rh 0.718 0.250 0.640 1
Rh4 Rh 0.733 0.250 0.121 1
N1 N 0.129 0.750 0.792 1
N2 N 0.190 0.577 0.416 1
N3 N 0.190 0.923 0.416 1
N4 N 0.209 0.750 0.995 1
N5 N 0.213 0.750 0.244 1
N6 N 0.306 0.000 0.902 1
N7 N 0.306 0.500 0.902 1
N8 N 0.411 0.750 0.812 1
N9 N 0.424 0.577 0.374 1
N10 N 0.424 0.923 0.374 1
N11 N 0.576 0.077 0.626 1
N12 N 0.576 0.423 0.626 1
N13 N 0.589 0.250 0.188 1
N14 N 0.694 0.000 0.098 1
N15 N 0.694 0.500 0.098 1
N16 N 0.787 0.250 0.756 1
N17 N 0.791 0.250 0.005 1
N18 N 0.810 0.077 0.584 1
N19 N 0.810 0.423 0.584 1
N20 N 0.871 0.250 0.208 1
Cl1 Cl 0.026 0.250 0.521 1
Cl2 Cl 0.044 0.045 0.136 1
Cl3 Cl 0.044 0.455 0.136 1
Cl4 Cl 0.089 0.250 0.744 1
Cl5 Cl 0.156 0.250 0.980 1
Cl6 Cl 0.213 0.543 0.640 1
Cl7 Cl 0.213 0.957 0.640 1
Cl8 Cl 0.245 0.250 0.299 1
Cl9 Cl 0.336 0.250 0.532 1
Cl10 Cl 0.350 0.040 0.144 1
Cl11 Cl 0.350 0.460 0.144 1
Cl12 Cl 0.398 0.250 0.755 1
Cl13 Cl 0.404 0.750 0.535 1
Cl14 Cl 0.476 0.750 0.008 1
Cl15 Cl 0.524 0.250 0.992 1
Cl16 Cl 0.596 0.250 0.465 1
Cl17 Cl 0.602 0.750 0.245 1
Cl18 Cl 0.650 0.540 0.856 1
Cl19 Cl 0.650 0.960 0.856 1
Cl20 Cl 0.664 0.750 0.468 1
Cl21 Cl 0.755 0.750 0.701 1
Cl22 Cl 0.787 0.043 0.360 1
Cl23 Cl 0.787 0.457 0.360 1
Cl24 Cl 0.844 0.750 0.020 1
Cl25 Cl 0.911 0.750 0.256 1
Cl26 Cl 0.956 0.545 0.864 1
Cl27 Cl 0.956 0.955 0.864 1
Cl28 Cl 0.974 0.750 0.479 1
```

The 10 most intense peaks (10 to 90 degrees two-theta), by angle:
2θ (°)  Rel. int.
14.18  16
16.74  100
17.05  39
18.42  15
21.68  34
22.77  30
24.72  16
26.09  18
28.58  15
39.22  16

---

Entry 9:
Pr6IrCl11: calculated X-ray diffraction stick pattern (Cu Kα, 1.54184 Å), based on a DFT-relaxed cell (GGA-PBE, the Materials Project).
Intensities are scaled so that the largest is 100.

Structural model:
```
data_Pr6IrCl11
_cell_length_a 8.302
_cell_length_b 8.302
_cell_length_c 7.412
_cell_angle_alpha 92.88
_cell_angle_beta 92.88
_cell_angle_gamma 101.70
_space_group_name_H-M_alt 'P 1'
_space_group_IT_number 1
loop_
_space_group_symop_operation_xyz
'x,y,z'
loop_
_atom_site_label
_atom_site_type_symbol
_atom_site_fract_x
_atom_site_fract_y
_atom_site_fract_z
_atom_site_occupancy
Pr1 Pr 0.017 0.708 0.728 1
Pr2 Pr 0.196 0.196 0.740 1
Pr3 Pr 0.292 0.983 0.272 1
Pr4 Pr 0.708 0.017 0.728 1
Pr5 Pr 0.804 0.804 0.260 1
Pr6 Pr 0.983 0.292 0.272 1
Ir1 Ir 0.000 0.000 0.500 1
Cl1 Cl 0.000 0.000 0.000 1
Cl2 Cl 0.095 0.661 0.136 1
Cl3 Cl 0.203 0.491 0.556 1
Cl4 Cl 0.307 0.307 0.135 1
Cl5 Cl 0.339 0.905 0.864 1
Cl6 Cl 0.491 0.203 0.556 1
Cl7 Cl 0.509 0.797 0.444 1
Cl8 Cl 0.661 0.095 0.136 1
Cl9 Cl 0.693 0.693 0.865 1
Cl10 Cl 0.797 0.509 0.444 1
Cl11 Cl 0.905 0.339 0.864 1
```

The 10 most intense peaks (10 to 90 degrees two-theta), by angle:
2θ (°)  Rel. int.
10.90  100
24.37  20
25.14  42
30.74  17
31.74  14
32.61  20
34.41  32
34.67  14
37.53  19
43.86  28